(1)
Structure and simulated X-ray powder pattern of PaZnTc2 (a crystal structure in the Materials Project, relaxed with PBE; a wavelength of 1.5418 Å).
Kinematic intensities with the Lorentz-polarization factor, no thermal factor.

Peak list (6 most intense, 10° ≤ 2θ ≤ 80°, in order of rising 2θ)
23.74 deg, I = 23
39.26 deg, I = 100
46.40 deg, I = 12
56.73 deg, I = 17
62.36 deg, I = 5
71.16 deg, I = 34

Crystal structure
abc: 6.491 6.491 6.491
angles: 90.00 90.00 90.00
Fractional positions:
1 Pa 0.000 0.000 0.000
2 Pa 0.000 0.500 0.500
3 Pa 0.500 0.000 0.500
4 Pa 0.500 0.500 0.000
5 Zn 0.000 0.000 0.500
6 Zn 0.000 0.500 0.000
7 Zn 0.500 0.000 0.000
8 Zn 0.500 0.500 0.500
9 Tc 0.250 0.250 0.250
10 Tc 0.250 0.250 0.750
11 Tc 0.250 0.750 0.250
12 Tc 0.250 0.750 0.750
13 Tc 0.750 0.250 0.250
14 Tc 0.750 0.250 0.750
15 Tc 0.750 0.750 0.250
16 Tc 0.750 0.750 0.750



(2)
Structure and simulated X-ray powder pattern of Te6Mo3WS2 (a crystal structure in the Materials Project, relaxed with PBE; a wavelength of 1.5418 Å).
Kinematic intensities with the Lorentz-polarization factor, no thermal factor.

Peak list (6 most intense, 10° ≤ 2θ ≤ 80°, in order of rising 2θ)
11.27 deg, I = 87
29.86 deg, I = 56
35.11 deg, I = 100
36.39 deg, I = 22
42.51 deg, I = 58
52.98 deg, I = 43

Crystal structure
abc: 3.457 3.457 39.264
angles: 90.00 90.00 120.00
Fractional positions:
1 Te 0.000 0.000 0.000
2 Te 0.000 0.000 0.094
3 Te 0.000 0.000 0.623
4 Te 0.000 0.000 0.718
5 Te 0.333 0.667 0.812
6 Te 0.333 0.667 0.906
7 Mo 0.000 0.000 0.483
8 Mo 0.000 0.000 0.859
9 Mo 0.333 0.667 0.047
10 W 0.333 0.667 0.671
11 S 0.333 0.667 0.445
12 S 0.333 0.667 0.521



(3)
Structure and simulated X-ray powder pattern of Nb2PdS6 (a crystal structure in the Materials Project, relaxed with PBE; a wavelength of 1.5418 Å).
Kinematic intensities with the Lorentz-polarization factor, no thermal factor.

Peak list (6 most intense, 10° ≤ 2θ ≤ 80°, in order of rising 2θ)
14.45 deg, I = 100
31.10 deg, I = 27
32.28 deg, I = 19
36.53 deg, I = 32
45.29 deg, I = 17
46.55 deg, I = 14

Crystal structure
abc: 6.433 6.433 10.217
angles: 116.39 116.39 29.80
Fractional positions:
1 Nb 0.183 0.183 0.292
2 Nb 0.817 0.817 0.708
3 Pd 0.500 0.500 0.000
4 S 0.166 0.166 0.540
5 S 0.287 0.287 0.871
6 S 0.485 0.485 0.761
7 S 0.515 0.515 0.239
8 S 0.713 0.713 0.129
9 S 0.834 0.834 0.460



(4)
Structure and simulated X-ray powder pattern of YCu3Sn4O12 (a crystal structure in the Materials Project, relaxed with PBE; a wavelength of 1.5418 Å).
Kinematic intensities with the Lorentz-polarization factor, no thermal factor.

Peak list (6 most intense, 10° ≤ 2θ ≤ 80°, in order of rising 2θ)
22.83 deg, I = 10
32.51 deg, I = 100
46.64 deg, I = 25
58.00 deg, I = 49
68.09 deg, I = 13
77.50 deg, I = 18

Crystal structure
abc: 6.746 6.746 6.746
angles: 109.47 109.47 109.47
Fractional positions:
1 Y 0.000 0.000 0.000
2 Cu 0.000 0.500 0.500
3 Cu 0.500 0.000 0.500
4 Cu 0.500 0.500 0.000
5 Sn 0.000 0.000 0.500
6 Sn 0.000 0.500 0.000
7 Sn 0.500 0.000 0.000
8 Sn 0.500 0.500 0.500
9 O 0.129 0.832 0.297
10 O 0.168 0.297 0.465
11 O 0.168 0.703 0.871
12 O 0.297 0.129 0.832
13 O 0.297 0.465 0.168
14 O 0.465 0.168 0.297
15 O 0.535 0.832 0.703
16 O 0.703 0.535 0.832
17 O 0.703 0.871 0.168
18 O 0.832 0.297 0.129
19 O 0.832 0.703 0.535
20 O 0.871 0.168 0.703



(5)
Structure and simulated X-ray powder pattern of LaZnNi2 (a crystal structure in the Materials Project, relaxed with PBE; a wavelength of 1.5418 Å).
Kinematic intensities with the Lorentz-polarization factor, no thermal factor.

Peak list (6 most intense, 10° ≤ 2θ ≤ 80°, in order of rising 2θ)
33.78 deg, I = 100
39.60 deg, I = 33
40.60 deg, I = 86
42.73 deg, I = 24
60.41 deg, I = 32
71.03 deg, I = 24

Crystal structure
abc: 5.309 5.309 16.244
angles: 90.00 90.00 120.00
Fractional positions:
1 La 0.333 0.667 0.043
2 La 0.333 0.667 0.250
3 La 0.333 0.667 0.457
4 La 0.667 0.333 0.543
5 La 0.667 0.333 0.750
6 La 0.667 0.333 0.957
7 Zn 0.000 0.000 0.000
8 Zn 0.000 0.000 0.250
9 Zn 0.000 0.000 0.500
10 Zn 0.000 0.000 0.750
11 Zn 0.333 0.667 0.750
12 Zn 0.667 0.333 0.250
13 Ni 0.166 0.332 0.627
14 Ni 0.166 0.332 0.873
15 Ni 0.166 0.834 0.627
16 Ni 0.166 0.834 0.873
17 Ni 0.332 0.166 0.127
18 Ni 0.332 0.166 0.373
19 Ni 0.668 0.834 0.627
20 Ni 0.668 0.834 0.873
21 Ni 0.834 0.166 0.127
22 Ni 0.834 0.166 0.373
23 Ni 0.834 0.668 0.127
24 Ni 0.834 0.668 0.373



Q: What is the formula in the fifth record?
A: LaZnNi2



Q: Which formula does entry 2 have?
A: Te6Mo3WS2